Record 1
Structure and computed XRD peak list of LuAu (a DFT-relaxed cell (PBE, the Materials Project); CuKα).

Atomic structure:
Cell lengths 3.534, 3.534, 3.534 Å; angles 90.00, 90.00, 90.00 degrees
Positions (direct):
Lu 0.000 0.000 0.000
Au 0.500 0.500 0.500

Principal peaks in the range 2θ = 10–80°, in order of falling intensity:
2θ/deg	Rel. int.
35.94	100
64.60	37
51.74	18
76.20	12
25.20	1



Record 2
Structure and computed XRD peak list of U2PN2 (a DFT-relaxed cell (PBE, the Materials Project); CuKα).

Atomic structure:
Cell lengths 3.797, 3.797, 6.538 Å; angles 90.00, 90.00, 120.00 degrees
Positions (direct):
U 0.333 0.667 0.219
U 0.667 0.333 0.781
P 0.000 0.000 0.500
N 0.333 0.667 0.871
N 0.667 0.333 0.129

Principal peaks in the range 2θ = 10–80°, in order of falling intensity:
2θ/deg	Rel. int.
30.43	100
38.84	27
47.91	26
27.28	23
56.00	23
50.22	23



Record 3
Structure and computed XRD peak list of Nd2CuRu (a DFT-relaxed cell (PBE, the Materials Project); CuKα).

Atomic structure:
Cell lengths 5.019, 5.019, 5.019 Å; angles 60.00, 60.00, 60.00 degrees
Positions (direct):
Nd 0.250 0.250 0.250
Nd 0.750 0.750 0.750
Cu 0.000 0.000 0.000
Ru 0.500 0.500 0.500

Principal peaks in the range 2θ = 10–80°, in order of falling intensity:
2θ/deg	Rel. int.
35.78	100
64.29	35
51.50	17
75.82	11
25.09	8
58.12	3



Record 4
Structure and computed XRD peak list of Hf9Re4B (a DFT-relaxed cell (PBE, the Materials Project); CuKα).

Atomic structure:
Cell lengths 8.443, 8.443, 8.578 Å; angles 90.00, 90.00, 120.00 degrees
Positions (direct):
Hf 0.080 0.540 0.250
Hf 0.201 0.402 0.554
Hf 0.201 0.402 0.946
Hf 0.201 0.799 0.554
Hf 0.201 0.799 0.946
Hf 0.402 0.201 0.054
Hf 0.402 0.201 0.446
Hf 0.460 0.540 0.250
Hf 0.460 0.920 0.250
Hf 0.540 0.080 0.750
Hf 0.540 0.460 0.750
Hf 0.598 0.799 0.554
Hf 0.598 0.799 0.946
Hf 0.799 0.201 0.054
Hf 0.799 0.201 0.446
Hf 0.799 0.598 0.054
Hf 0.799 0.598 0.446
Hf 0.920 0.460 0.750
Re 0.000 0.000 0.000
Re 0.000 0.000 0.500
Re 0.110 0.221 0.250
Re 0.110 0.890 0.250
Re 0.221 0.110 0.750
Re 0.779 0.890 0.250
Re 0.890 0.110 0.750
Re 0.890 0.779 0.750
B 0.333 0.667 0.750
B 0.667 0.333 0.250

Principal peaks in the range 2θ = 10–80°, in order of falling intensity:
2θ/deg	Rel. int.
38.76	100
38.39	72
40.03	41
66.67	30
33.66	30
64.39	28